# SrCaMn2O6
Theoretical powder diffractogram, Cu Kα, 1.54184 Å. Input: DFT lattice parameters and positions (PBE+U).
Intensities are scaled so that the largest is 100.

Structure:
Cell: 7.7027 7.7027 7.7013 Å, 90.00 90.00 90.00°
Space group P4/mmm (No. 123)
Symmetry-distinct sites (fractional):
Sr (0.0000, 0.0000, 0.0000) x1
Sr (0.0000, 0.5000, 0.0000) x2
Sr (0.5000, 0.5000, 0.5000) x1
Ca (0.0000, 0.0000, 0.5000) x1
Ca (0.0000, 0.5000, 0.5000) x2
Ca (0.5000, 0.5000, 0.0000) x1
Mn (0.2500, 0.2500, 0.2509) x8
O (0.0000, 0.2500, 0.2544) x8
O (0.2480, 0.2480, 0.5000) x4
O (0.2500, 0.5000, 0.2504) x8
O (0.2520, 0.2520, 0.0000) x4

Top 10 peaks for 2θ = 15–90°, in order of rising 2θ:
(hkl)	2θ (°)	I (rel.)
1 0 1	16.28	4
1 1 1	19.97	3
2 2 0	32.89	100
2 2 2	40.57	11
4 0 0	47.20	44
4 2 2	58.73	36
4 4 0	68.97	24
6 2 0	78.55	15
6 2 2	83.20	3
4 4 4	87.81	8